This entry pairs a crystal structure of CrReW with its theoretical XRD peak list. Radiation: Cu Kα (λ = 1.5418 Å). Structure: the PBE geometry in Alexandria.
Intensities are scaled so that the largest is 100.

Cell: 9.1773 4.3340 5.3100 Å, 90.00 125.07 90.00°
Space group Cm (No. 8)
Asymmetric unit:
Cr: 0.0000 0.0000 0.0000
Cr: 0.1664 0.5000 0.5056
Re: 0.1611 0.5000 0.9930
Re: 0.3376 0.0000 0.0016
W: 0.3240 0.0000 0.4931
W: 0.4979 0.5000 0.4960

Top 10 peaks for 2θ = 5–70°, in order of falling intensity:
(hkl), 2theta, I_rel
0 2 0, 41.69, 100
0 0 2, 41.56, 21
0 2 2, 60.32, 14
1 1 -1, 26.55, 10
6 0 -2, 60.53, 7
2 0 -1, 20.53, 7
1 1 0, 23.70, 6
1 1 1, 35.82, 6
4 0 -1, 39.88, 3
4 2 -1, 59.05, 2